Dy4GaI5: theoretical XRD peak list (Cu Kα (λ = 1.5418 Å)), based on a crystal structure in Alexandria, relaxed with PBE.
Intensities are scaled so that the largest is 100.

abc: 9.8065 9.8065 8.7880
angles: 102.09 102.09 24.87
Sites, in units of the cell vectors:
Dy (0.9999, 0.9999, 0.2137)
Dy (0.0001, 0.0001, 0.7863)
Dy (0.3530, 0.3530, 0.9255)
Dy (0.6470, 0.6470, 0.0745)
Ga (0.5000, 0.5000, 0.0000)
I (0.1668, 0.1668, 0.3374)
I (0.1732, 0.1732, 0.8293)
I (0.5000, 0.5000, 0.5000)
I (0.8268, 0.8268, 0.1707)
I (0.8332, 0.8332, 0.6626)

Peak list (8 most intense, 10 to 90 degrees two-theta, sorted by position)
| 2theta | intensity |
| --- | --- |
| 10.31 | 27.8 |
| 28.64 | 60.0 |
| 29.33 | 100.0 |
| 41.09 | 17.2 |
| 41.22 | 34.7 |
| 41.68 | 32.8 |
| 42.82 | 18.7 |
| 52.32 | 18.4 |